[1]
This entry pairs a crystal structure of Li2DyHg3 with its simulated powder diffraction line list. Radiation: copper Kα. Structure: a crystal structure in Alexandria, relaxed with PBE.
Lines closer than 0.1° are merged.

Atomic structure:
abc: 4.6705 4.6705 13.5163
angles: 90.00 90.00 120.00
Space group P6_3/mmc (No. 194)
Asymmetric unit:
Li1 0.3333 0.6667 0.0714
Dy1 0.0000 0.0000 0.2500
Hg1 0.0000 0.0000 0.0000
Hg2 0.3333 0.6667 0.6328

The 8 most intense peaks (2θ = 10–90°), in order of rising 2θ:
2θ 23.0, I = 57, (1 0 1)
2θ 29.7, I = 19, (1 0 3)
2θ 34.6, I = 100, (1 0 4)
2θ 38.6, I = 71, (1 1 0)
2θ 40.1, I = 21, (1 0 5)
2θ 52.8, I = 31, (2 0 4)
2θ 67.2, I = 30, (2 1 4)
2θ 68.6, I = 24, (1 1 8)

***

[2]
This entry pairs a crystal structure of Li3DyHg4 with its simulated powder diffraction line list. Radiation: copper Kα. Structure: a crystal structure in Alexandria, relaxed with PBE.
Lines closer than 0.1° are merged.

Atomic structure:
abc: 4.8727 4.8727 24.1810
angles: 90.00 90.00 120.00
Space group R-3m (No. 166, hexagonal axes)
Asymmetric unit:
Li1 0.0000 0.0000 0.0000
Li2 0.0000 0.0000 0.2526
Dy1 0.0000 0.0000 0.5000
Hg1 0.0000 0.0000 0.1166
Hg2 0.0000 0.0000 0.3718

The 8 most intense peaks (2θ = 10–90°), in order of rising 2θ:
2θ 25.7, I = 99, (1 0 4)
2θ 36.6, I = 94, (0 1 8)
2θ 36.9, I = 100, (1 1 0)
2θ 45.5, I = 22, (0 2 4)
2θ 52.9, I = 33, (2 0 8)
2θ 60.0, I = 20, (2 1 4)
2θ 66.3, I = 34, (1 2 8)
2θ 66.5, I = 18, (3 0 0)

***

[3]
This entry pairs a crystal structure of Li5Dy4Hg6 with its simulated powder diffraction line list. Radiation: copper Kα. Structure: a crystal structure in Alexandria, relaxed with PBE.
Lines closer than 0.1° are merged.

Atomic structure:
abc: 4.8067 21.6288 13.3963
angles: 90.00 90.00 90.00
Space group Cmc2_1 (No. 36)
Asymmetric unit:
Li1 0.0000 0.0378 0.0000
Li2 0.0000 0.1638 0.3450
Li3 0.0000 0.1697 0.9530
Li4 0.0000 0.2049 0.6207
Li5 0.0000 0.3171 0.0050
Dy1 0.0000 0.3187 0.2898
Dy2 0.0000 0.3690 0.6385
Dy3 0.0000 0.4442 0.8722
Dy4 0.0000 0.4634 0.1454
Hg1 0.0000 0.0529 0.2156
Hg2 0.0000 0.0870 0.7844
Hg3 0.0000 0.0938 0.5219
Hg4 0.0000 0.2172 0.1374
Hg5 0.0000 0.2731 0.8120
Hg6 0.0000 0.4223 0.4348

The 8 most intense peaks (2θ = 10–90°), in order of rising 2θ:
2θ 13.2, I = 46, (0 0 2)
2θ 23.2, I = 57, (1 3 1)
2θ 32.9, I = 73, (1 1 4)
2θ 34.4, I = 100, (1 5 3)
2θ 35.2, I = 55, (1 7 1)
2θ 37.1, I = 58, (1 7 2)
2θ 37.4, I = 84, (2 0 0)
2θ 38.8, I = 70, (1 5 4)

***

[4]
This entry pairs a crystal structure of Li2Dy3Hg2 with its simulated powder diffraction line list. Radiation: copper Kα. Structure: a crystal structure in Alexandria, relaxed with PBE.
Lines closer than 0.1° are merged.

Atomic structure:
abc: 3.6025 4.8732 19.4130
angles: 90.00 90.00 90.00
Space group Immm (No. 71)
Asymmetric unit:
Li1 0.0000 0.0000 0.0670
Dy1 0.0000 0.0000 0.5000
Dy2 0.0000 0.5000 0.3010
Hg1 0.0000 0.5000 0.1370

The 8 most intense peaks (2θ = 10–90°), in order of rising 2θ:
2θ 18.8, I = 76, (0 1 1)
2θ 30.9, I = 72, (1 1 0)
2θ 32.2, I = 100, (1 1 2)
2θ 33.9, I = 77, (1 0 5)
2θ 36.1, I = 64, (1 1 4)
2θ 36.9, I = 59, (0 2 0)
2θ 37.3, I = 95, (0 1 7)
2θ 51.0, I = 49, (1 2 5)

***

[5]
This entry pairs a crystal structure of Dy3Mg2Hg3 with its simulated powder diffraction line list. Radiation: copper Kα. Structure: a crystal structure in Alexandria, relaxed with PBE.
Lines closer than 0.1° are merged.

Atomic structure:
abc: 8.8571 8.8571 5.8562
angles: 90.00 90.00 120.00
Space group P6_3/mcm (No. 193)
Asymmetric unit:
Dy1 0.0000 0.2496 0.2500
Mg1 0.3333 0.6667 0.0000
Hg1 0.0000 0.3968 0.7500

The 8 most intense peaks (2θ = 10–90°), in order of rising 2θ:
2θ 20.1, I = 39, (1 1 0)
2θ 30.5, I = 36, (0 0 2)
2θ 34.5, I = 100, (2 1 1)
2θ 35.1, I = 22, (3 0 0)
2θ 36.8, I = 28, (1 1 2)
2θ 45.4, I = 24, (3 1 1)
2θ 47.2, I = 13, (3 0 2)
2θ 56.9, I = 24, (2 1 3)

***

[6]
This entry pairs a crystal structure of Dy2MgHg8 with its simulated powder diffraction line list. Radiation: copper Kα. Structure: a crystal structure in Alexandria, relaxed with PBE.
Lines closer than 0.1° are merged.

Atomic structure:
abc: 17.0199 4.7906 6.8858
angles: 90.00 108.83 90.00
Space group C2/m (No. 12)
Asymmetric unit:
Dy1 0.2128 0.0000 0.1771
Mg1 0.0000 0.5000 0.5000
Hg1 0.0212 0.0000 0.2308
Hg2 0.1055 0.5000 0.9200
Hg3 0.1493 0.5000 0.3827
Hg4 0.1620 0.0000 0.6872

The 8 most intense peaks (2θ = 10–90°), in order of rising 2θ:
2θ 32.6, I = 73, (5 1 -1)
2θ 33.5, I = 44, (5 1 0)
2θ 35.2, I = 100, (1 1 2)
2θ 37.4, I = 24, (5 1 -2)
2θ 37.5, I = 48, (0 2 0)
2θ 40.3, I = 37, (4 0 -3)
2θ 56.2, I = 28, (4 2 -3)
2θ 64.7, I = 20, (5 3 -1)

***

[7]
This entry pairs a crystal structure of DyMg2ScHg4 with its simulated powder diffraction line list. Radiation: copper Kα. Structure: a crystal structure in Alexandria, relaxed with PBE.
Lines closer than 0.1° are merged.

Atomic structure:
abc: 4.9884 4.9884 24.5665
angles: 90.00 90.00 120.00
Space group R-3m (No. 166, hexagonal axes)
Asymmetric unit:
Dy1 0.0000 0.0000 0.0000
Mg1 0.0000 0.0000 0.2495
Sc1 0.0000 0.0000 0.5000
Hg1 0.0000 0.0000 0.1276
Hg2 0.0000 0.0000 0.3788

The 8 most intense peaks (2θ = 10–90°), in order of rising 2θ:
2θ 25.2, I = 64, (1 0 4)
2θ 35.9, I = 99, (0 1 8)
2θ 36.0, I = 100, (1 1 0)
2θ 51.7, I = 35, (2 0 8)
2θ 64.4, I = 17, (1 0 16)
2θ 64.7, I = 54, (3 0 0)
2θ 87.1, I = 16, (2 1 16)
2θ 87.4, I = 17, (3 1 8)

***

[8]
This entry pairs a crystal structure of DyTm2MgHg4 with its simulated powder diffraction line list. Radiation: copper Kα. Structure: a crystal structure in Alexandria, relaxed with PBE.
Lines closer than 0.1° are merged.

Atomic structure:
abc: 5.1183 5.1183 25.4742
angles: 90.00 90.00 120.00
Space group R-3m (No. 166, hexagonal axes)
Asymmetric unit:
Dy1 0.0000 0.0000 0.0000
Tm1 0.0000 0.0000 0.2458
Mg1 0.0000 0.0000 0.5000
Hg1 0.0000 0.0000 0.1252
Hg2 0.0000 0.0000 0.3747

The 8 most intense peaks (2θ = 10–90°), in order of rising 2θ:
2θ 34.7, I = 100, (0 1 8)
2θ 35.1, I = 98, (1 1 0)
2θ 50.1, I = 36, (2 0 8)
2θ 61.9, I = 18, (1 0 16)
2θ 62.7, I = 37, (1 2 8)
2θ 62.9, I = 18, (3 0 0)
2θ 83.8, I = 16, (2 1 16)
2θ 84.5, I = 17, (3 1 8)